K2MgCoF6: calculated XRD peak list (a wavelength of 1.5418 Å), based on a DFT-relaxed cell (GGA+U, Alexandria).
Intensities are scaled so that the largest is 100.

Principal peaks in the range 15° ≤ 2θ ≤ 90°, sorted by position:
- 18.81°, rel. 16
- 21.75°, rel. 16
- 30.96°, rel. 100
- 36.47°, rel. 10
- 38.15°, rel. 26
- 44.30°, rel. 55
- 44.43°, rel. 27
- 55.05°, rel. 30
- 64.45°, rel. 15
- 64.55°, rel. 30
- 73.20°, rel. 10
- 81.64°, rel. 13

Structural model:
a b c (Å): 5.7749 5.7749 5.7749
angles (deg): 119.93 119.88 90.16
Fractional positions:
1 K 0.2490 0.2490 0.0000
2 K 0.7510 0.7510 0.0000
3 Mg 0.0000 0.5000 0.5000
4 Co 0.5000 0.0000 0.5000
5 F 0.2459 0.2528 0.4988
6 F 0.2459 0.7472 0.9931
7 F 0.2475 0.7475 0.5000
8 F 0.7525 0.2525 0.5000
9 F 0.7541 0.2528 0.0069
10 F 0.7541 0.7472 0.5012